1.
Structure and computed powder diffractogram of K3NaTl (a structure optimized by DFT (PBE); copper Kα).
Kinematic intensities with the Lorentz-polarization factor, no thermal factor.

Principal peaks in the range 10° ≤ 2θ ≤ 80°, in order of rising 2θ:
12.2 deg, I = 71, hkl 2 0 0; 13.7 deg, I = 39, hkl 2 1 0; 18.7 deg, I = 100, hkl 1 0 1; 24.8 deg, I = 44, hkl 2 2 1; 25.6 deg, I = 46, hkl 3 0 1; 26.3 deg, I = 66, hkl 3 1 1; 30.8 deg, I = 47, hkl 4 3 0; 31.4 deg, I = 43, hkl 5 1 0; 31.7 deg, I = 52, hkl 3 3 1; 32.9 deg, I = 62, hkl 4 2 1

Structural model:
a = 14.504 Å, b = 14.504 Å, c = 5.018 Å
α = 90.00°, β = 90.00°, γ = 90.00°
Space group P4_2/mnm (No. 136)
Symmetry-distinct sites (fractional):
K 0.020 0.325 0.000 x8
K 0.116 0.884 0.500 x4
Na 0.184 0.184 0.500 x4
Tl 0.077 0.077 0.000 x4

***

2.
Structure and computed powder diffractogram of KHg17Pb (a structure optimized by DFT (PBE); copper Kα).
Kinematic intensities with the Lorentz-polarization factor, no thermal factor.

Principal peaks in the range 10° ≤ 2θ ≤ 80°, in order of rising 2θ:
28.1 deg, I = 12, hkl 0 2 4; 28.9 deg, I = 20, hkl 0 0 6; 30.8 deg, I = 27, hkl 3 0 0; 31.7 deg, I = 17, hkl 2 0 5; 34.1 deg, I = 100, hkl 0 3 3; 36.5 deg, I = 12, hkl 1 2 5; 42.8 deg, I = 10, hkl 3 0 6; 54.6 deg, I = 11, hkl 0 3 9; 54.8 deg, I = 16, hkl 3 3 0; 63.2 deg, I = 10, hkl 3 3 6

Structural model:
a = 10.0477 Å, b = 10.0477 Å, c = 18.5379 Å
α = 90.00°, β = 90.00°, γ = 120.00°
Space group R3m (No. 160, hexagonal axes)
Symmetry-distinct sites (fractional):
K 0.0000 0.0000 0.0000 x3
Hg 0.0000 0.0000 0.3012 x3
Hg 0.0000 0.0000 0.4680 x3
Hg 0.0010 0.3103 0.3640 x18
Hg 0.0501 0.5251 0.2307 x9
Hg 0.0926 0.5463 0.8441 x9
Hg 0.0955 0.5477 0.5022 x9
Pb 0.0000 0.0000 0.6895 x3

***

3.
Structure and computed powder diffractogram of Zr2Sc3Al (a structure optimized by DFT (PBE); copper Kα).
Kinematic intensities with the Lorentz-polarization factor, no thermal factor.

Principal peaks in the range 10° ≤ 2θ ≤ 80°, in order of rising 2θ:
34.8 deg, I = 100, hkl 1 3 1; 39.7 deg, I = 17, hkl 0 0 2; 40.4 deg, I = 16, hkl 0 6 0; 41.3 deg, I = 15, hkl 2 0 0; 57.9 deg, I = 11, hkl 0 6 2; 58.6 deg, I = 10, hkl 2 0 2; 68.9 deg, I = 12, hkl 1 3 3; 69.8 deg, I = 12, hkl 1 9 1; 71.1 deg, I = 11, hkl 3 3 1; 73.5 deg, I = 10, hkl 2 6 2

Structural model:
a = 4.373 Å, b = 13.407 Å, c = 4.545 Å
α = 90.00°, β = 90.00°, γ = 90.00°
Space group Cmmm (No. 65)
Symmetry-distinct sites (fractional):
Zr 0.000 0.165 0.000 x4
Sc 0.000 0.000 0.500 x2
Sc 0.000 0.332 0.500 x4
Al 0.000 0.500 0.000 x2

***

4.
Structure and computed powder diffractogram of PtRh (a structure optimized by DFT (PBE); copper Kα).
Kinematic intensities with the Lorentz-polarization factor, no thermal factor.

Principal peaks in the range 10° ≤ 2θ ≤ 80°, in order of rising 2θ:
24.7 deg, I = 10, hkl 1 1 1; 40.9 deg, I = 100, hkl 2 2 0; 48.3 deg, I = 5, hkl 3 1 1; 59.1 deg, I = 17, hkl 4 0 0; 65.1 deg, I = 2, hkl 3 3 1; 74.4 deg, I = 34, hkl 4 2 2; 79.8 deg, I = 2, hkl 5 1 1

Structural model:
a = 6.248 Å, b = 6.248 Å, c = 6.248 Å
α = 90.00°, β = 90.00°, γ = 90.00°
Space group Fd-3m (No. 227, origin choice 2)
Symmetry-distinct sites (fractional):
Pt 0.125 0.125 0.125 x8
Rh 0.125 0.125 0.625 x8

***

5.
Structure and computed powder diffractogram of Cs3Bi2Cl9 (a structure optimized by DFT (PBE); copper Kα).
Kinematic intensities with the Lorentz-polarization factor, no thermal factor.

Principal peaks in the range 10° ≤ 2θ ≤ 80°, in order of rising 2θ:
13.2 deg, I = 33, hkl 1 0 0; 13.9 deg, I = 70, hkl 1 0 1; 22.1 deg, I = 31, hkl 1 0 4; 23.0 deg, I = 100, hkl 1 1 0; 25.9 deg, I = 74, hkl 1 0 5; 29.8 deg, I = 33, hkl 2 0 3; 32.1 deg, I = 42, hkl 2 0 4; 34.9 deg, I = 54, hkl 2 0 5; 42.2 deg, I = 43, hkl 2 1 5; 47.0 deg, I = 39, hkl 2 2 0

Structural model:
a = 7.7333 Å, b = 7.7333 Å, c = 20.0570 Å
α = 90.00°, β = 90.00°, γ = 120.00°
Space group P6_3/mmc (No. 194)
Symmetry-distinct sites (fractional):
Cs 0.0000 0.0000 0.2500 x2
Cs 0.3333 0.6667 0.0734 x4
Bi 0.3333 0.6667 0.6554 x4
Cl 0.0041 0.5021 0.7500 x6
Cl 0.1701 0.3402 0.5843 x12

***

6.
Structure and computed powder diffractogram of Sm2Si3Pt3 (a structure optimized by DFT (PBE); copper Kα).
Kinematic intensities with the Lorentz-polarization factor, no thermal factor.

Principal peaks in the range 10° ≤ 2θ ≤ 80°, in order of rising 2θ:
12.9 deg, I = 48, hkl 0 0 3; 21.6 deg, I = 26, hkl 0 0 5; 31.3 deg, I = 100, hkl 1 0 0; 34.0 deg, I = 20, hkl 1 0 3; 34.9 deg, I = 31, hkl 0 0 8; 38.4 deg, I = 25, hkl 1 0 5; 44.9 deg, I = 37, hkl 1 1 0; 47.6 deg, I = 52, hkl 1 0 8; 58.1 deg, I = 29, hkl 1 1 8; 74.2 deg, I = 17, hkl 2 1 0

Structural model:
a = 2.857 Å, b = 2.857 Å, c = 20.568 Å
α = 90.00°, β = 90.00°, γ = 90.00°
Space group P4/mmm (No. 123)
Symmetry-distinct sites (fractional):
Sm 0.000 0.000 0.248 x2
Si 0.000 0.000 0.000 x1
Si 0.000 0.000 0.387 x2
Pt 0.000 0.000 0.112 x2
Pt 0.000 0.000 0.500 x1

***

7.
Structure and computed powder diffractogram of CsGaICl2 (a structure optimized by DFT (PBE); copper Kα).
Kinematic intensities with the Lorentz-polarization factor, no thermal factor.

Principal peaks in the range 10° ≤ 2θ ≤ 80°, in order of rising 2θ:
23.3 deg, I = 79, hkl 1 1 0; 28.2 deg, I = 100, hkl 1 1 1; 31.4 deg, I = 46, hkl 0 0 2; 33.3 deg, I = 79, hkl 2 0 0; 39.5 deg, I = 41, hkl 1 1 2; 46.4 deg, I = 60, hkl 2 0 2; 47.7 deg, I = 28, hkl 2 2 0; 56.4 deg, I = 26, hkl 3 1 1; 58.3 deg, I = 30, hkl 2 2 2; 63.6 deg, I = 21, hkl 3 1 2

Structural model:
a = 5.388 Å, b = 5.388 Å, c = 5.699 Å
α = 90.00°, β = 90.00°, γ = 90.00°
Space group P4/mmm (No. 123)
Symmetry-distinct sites (fractional):
Cs 0.000 0.000 0.000 x1
Ga 0.500 0.500 0.500 x1
I 0.500 0.500 0.000 x1
Cl 0.000 0.500 0.500 x2